Na4I5N2: computed PXRD pattern (Cu Kα (weighted mean of Kα1 and Kα2)), based on DFT lattice parameters and positions (PBE).
No peak broadening, texture or thermal motion is included.

Cell and atoms:
a b c (Å): 3.988 9.405 11.355
angles (deg): 72.05 90.00 77.82
Atoms (fractional coordinates):
Na  0.145  0.209  0.073
Na  0.315  0.866  0.404
Na  0.685  0.134  0.596
Na  0.855  0.791  0.927
I  0.142  0.218  0.364
I  0.205  0.092  0.824
I  0.500  0.500  0.000
I  0.795  0.908  0.176
I  0.858  0.782  0.636
N  0.468  0.563  0.477
N  0.532  0.437  0.523

Main lines, in order of rising 2θ (10 to 80 degrees two-theta):
8.724 Å, 10.14°, rel. 309; 4.576 Å, 19.40°, rel. 546; 4.077 Å, 21.80°, rel. 230; 4.049 Å, 21.95°, rel. 701; 3.766 Å, 23.63°, rel. 352; 3.289 Å, 27.11°, rel. 881; 3.263 Å, 27.33°, rel. 1000; 3.058 Å, 29.20°, rel. 250; 3.000 Å, 29.78°, rel. 290; 2.839 Å, 31.52°, rel. 291; 2.410 Å, 37.31°, rel. 452; 2.145 Å, 42.13°, rel. 302

Tb5DyRh6: computed PXRD pattern (Cu Kα (weighted mean of Kα1 and Kα2)), based on DFT lattice parameters and positions (PBE).
No peak broadening, texture or thermal motion is included.

Cell and atoms:
a b c (Å): 7.690 7.690 6.879
angles (deg): 90.00 90.00 143.16
Atoms (fractional coordinates):
Tb  0.000  0.000  0.000
Tb  0.333  0.667  0.000
Tb  0.334  0.666  0.500
Tb  0.666  0.334  0.500
Tb  0.667  0.333  0.000
Dy  0.000  0.000  0.500
Rh  0.166  0.834  0.250
Rh  0.166  0.834  0.750
Rh  0.500  0.500  0.251
Rh  0.500  0.500  0.749
Rh  0.834  0.166  0.250
Rh  0.834  0.166  0.750

Main lines, in order of rising 2θ (10 to 80 degrees two-theta):
3.439 Å, 25.91°, rel. 47; 2.431 Å, 36.97°, rel. 1000; 1.985 Å, 45.70°, rel. 15; 1.719 Å, 53.28°, rel. 174; 1.538 Å, 60.17°, rel. 20; 1.404 Å, 66.62°, rel. 353; 1.216 Å, 78.71°, rel. 110

Tb3NdDyTm: computed PXRD pattern (Cu Kα (weighted mean of Kα1 and Kα2)), based on DFT lattice parameters and positions (PBE).
No peak broadening, texture or thermal motion is included.

Cell and atoms:
a b c (Å): 6.494 6.494 11.553
angles (deg): 90.00 90.00 127.59
Atoms (fractional coordinates):
Tb  0.135  0.865  0.750
Tb  0.325  0.675  0.532
Tb  0.325  0.675  0.968
Tb  0.675  0.325  0.032
Tb  0.675  0.325  0.468
Tb  0.865  0.135  0.250
Nd  0.473  0.527  0.250
Nd  0.527  0.473  0.750
Dy  0.000  0.000  0.000
Dy  0.000  0.000  0.500
Tm  0.173  0.827  0.250
Tm  0.827  0.173  0.750

Main lines, in order of rising 2θ (10 to 80 degrees two-theta):
3.083 Å, 28.96°, rel. 79; 2.888 Å, 30.96°, rel. 255; 2.867 Å, 31.19°, rel. 312; 2.810 Å, 31.85°, rel. 1000; 2.035 Å, 44.52°, rel. 189; 1.942 Å, 46.77°, rel. 66; 1.652 Å, 55.63°, rel. 130; 1.644 Å, 55.92°, rel. 204; 1.612 Å, 57.15°, rel. 56; 1.608 Å, 57.30°, rel. 79; 1.405 Å, 66.55°, rel. 70; 1.281 Å, 74.01°, rel. 56

Repeat the third record exactly.
Tb3NdDyTm: computed PXRD pattern (Cu Kα (weighted mean of Kα1 and Kα2)), based on DFT lattice parameters and positions (PBE).
No peak broadening, texture or thermal motion is included.

Cell and atoms:
a b c (Å): 6.494 6.494 11.553
angles (deg): 90.00 90.00 127.59
Atoms (fractional coordinates):
Tb  0.135  0.865  0.750
Tb  0.325  0.675  0.532
Tb  0.325  0.675  0.968
Tb  0.675  0.325  0.032
Tb  0.675  0.325  0.468
Tb  0.865  0.135  0.250
Nd  0.473  0.527  0.250
Nd  0.527  0.473  0.750
Dy  0.000  0.000  0.000
Dy  0.000  0.000  0.500
Tm  0.173  0.827  0.250
Tm  0.827  0.173  0.750

Main lines, in order of rising 2θ (10 to 80 degrees two-theta):
3.083 Å, 28.96°, rel. 79; 2.888 Å, 30.96°, rel. 255; 2.867 Å, 31.19°, rel. 312; 2.810 Å, 31.85°, rel. 1000; 2.035 Å, 44.52°, rel. 189; 1.942 Å, 46.77°, rel. 66; 1.652 Å, 55.63°, rel. 130; 1.644 Å, 55.92°, rel. 204; 1.612 Å, 57.15°, rel. 56; 1.608 Å, 57.30°, rel. 79; 1.405 Å, 66.55°, rel. 70; 1.281 Å, 74.01°, rel. 56